The following is a simulated powder diffraction line list of Te8Pt. It was derived from a GGA-PBE-relaxed structure, using Cu Kα X-rays.
Peak positions follow from Bragg's law for the DFT cell and can differ from measured ones.

Structure:
```
Te8Pt
1.0
8.7710 0.0000 0.0000
-4.3855 7.5959 0.0000
0.0000 0.0000 3.9737
Te Pt
8 1
direct
0.0000 0.2128 0.0000 Te
0.0000 0.5225 0.5000 Te
0.2128 0.0000 0.0000 Te
0.3333 0.6667 0.0000 Te
0.4775 0.4775 0.5000 Te
0.5225 0.0000 0.5000 Te
0.6667 0.3333 0.0000 Te
0.7872 0.7872 0.0000 Te
0.0000 0.0000 0.5000 Pt
```

Top 12 peaks for 5° ≤ 2θ ≤ 70°, by angle:
2θ (°)  I/Imax
11.65  15
20.25  22
23.42  21
30.35  17
31.15  30
32.61  100
38.69  36
41.17  20
45.66  15
47.35  15
47.90  13
69.64  18

The following is a simulated powder diffraction line list of CuAg. It was derived from a GGA-PBE-relaxed structure, using Cu Kα X-rays.
Peak positions follow from Bragg's law for the DFT cell and can differ from measured ones.

Structure:
```
CuAg
1.0
2.7783 -3.8746 0.0000
2.7783 3.8746 0.0000
0.0000 0.0000 5.5836
Cu Ag
4 4
direct
0.2500 0.2500 0.0000 Cu
0.2500 0.7500 0.7584 Cu
0.7500 0.2500 0.2416 Cu
0.7500 0.7500 0.0000 Cu
0.2500 0.2500 0.5000 Ag
0.2500 0.7500 0.2289 Ag
0.7500 0.2500 0.7711 Ag
0.7500 0.7500 0.5000 Ag
```

Top 12 peaks for 5° ≤ 2θ ≤ 70°, by angle:
2θ (°)  I/Imax
25.37  9
28.03  8
36.11  4
39.80  99
39.93  100
41.82  2
46.09  63
46.90  31
64.93  3
67.05  9
67.41  10
67.86  37

The following is a simulated powder diffraction line list of Nd2Sc2GeBi. It was derived from a GGA-PBE-relaxed structure, using Cu Kα X-rays.
Peak positions follow from Bragg's law for the DFT cell and can differ from measured ones.

Structure:
```
Nd2Sc2GeBi
1.0
-2.2193 2.2193 8.1967
2.2193 -2.2193 8.1967
2.2193 2.2193 -8.1967
Nd Sc Ge Bi
2 2 1 1
direct
0.0000 0.0000 0.0000 Nd
0.3546 0.3546 0.0000 Nd
0.1602 0.6602 0.5000 Sc
0.6602 0.1602 0.5000 Sc
0.5473 0.5473 0.0000 Ge
0.7966 0.7966 0.0000 Bi
```

Top 12 peaks for 5° ≤ 2θ ≤ 70°, by angle:
2θ (°)  I/Imax
10.79  31
20.73  22
21.68  29
25.86  23
28.44  96
30.50  61
33.99  100
36.04  87
40.65  70
54.00  54
54.45  29
58.85  23

Question: Number 2 is which compound?
Answer: CuAg